Entry 1:
Diffraction record for NdCo3. The powder diffractogram is computed, not measured: it uses the GGA-PBE geometry in the Materials Project and Cu Kα.
Neutral-atom scattering factors, no anomalous dispersion.

Structural model:
```
data_NdCo3
_cell_length_a 5.0844
_cell_length_b 5.0844
_cell_length_c 24.8103
_cell_angle_alpha 90.00
_cell_angle_beta 90.00
_cell_angle_gamma 120.00
_symmetry_space_group_name_H-M 'R -3 m'
_symmetry_Int_Tables_number 166
_symmetry_space_group_name_Hall '-R 3 2"'
loop_
_atom_site_label
_atom_site_fract_x
_atom_site_fract_y
_atom_site_fract_z
Nd1 0.0000 0.0000 0.0000
Nd2 0.0000 0.0000 0.1394
Co1 0.0000 0.0000 0.3341
Co2 0.0000 0.0000 0.5000
Co3 0.0024 0.5012 0.0794
```

Peak list (10 most intense, 10 to 90 degrees two-theta, in order of rising 2θ)
2theta  d [Å]  I/Imax  (hkl)
32.43  2.761  45  1 0 7
35.35  2.539  87  1 1 0
41.16  2.193  36  0 2 1
41.70  2.166  100  1 1 6
45.05  2.012  13  2 0 5
61.56  1.506  14  2 1 7
63.41  1.467  23  3 0 0
67.75  1.383  21  0 3 6
67.90  1.380  14  2 0 14
74.67  1.271  20  2 2 0

Entry 2:
Diffraction record for CsCaBr3. The powder diffractogram is computed, not measured: it uses the GGA-PBE geometry in the Materials Project and Cu Kα.
Neutral-atom scattering factors, no anomalous dispersion.

Structural model:
```
data_CsCaBr3
_cell_length_a 5.773
_cell_length_b 5.773
_cell_length_c 5.773
_cell_angle_alpha 90.00
_cell_angle_beta 90.00
_cell_angle_gamma 90.00
_symmetry_space_group_name_H-M 'P m -3 m'
_symmetry_Int_Tables_number 221
_symmetry_space_group_name_Hall '-P 4 2 3'
loop_
_atom_site_label
_atom_site_fract_x
_atom_site_fract_y
_atom_site_fract_z
Cs1 0.000 0.000 0.000
Ca1 0.500 0.500 0.500
Br1 0.000 0.500 0.500
```

Peak list (10 most intense, 10 to 90 degrees two-theta, in order of rising 2θ)
2theta  d [Å]  I/Imax  (hkl)
21.77  4.082  18  1 1 0
26.75  3.333  100  1 1 1
30.98  2.886  81  2 0 0
44.39  2.041  58  2 2 0
52.58  1.741  45  3 1 1
55.11  1.666  20  2 2 2
71.20  1.324  18  3 3 1
73.35  1.291  26  4 2 0
81.73  1.178  19  4 2 2
87.88  1.111  15  5 1 1

Entry 3:
Diffraction record for Sr2LiN. The powder diffractogram is computed, not measured: it uses the GGA-PBE geometry in the Materials Project and Cu Kα.
Neutral-atom scattering factors, no anomalous dispersion.

Structural model:
```
data_Sr2LiN
_cell_length_a 3.923
_cell_length_b 3.923
_cell_length_c 13.836
_cell_angle_alpha 90.00
_cell_angle_beta 90.00
_cell_angle_gamma 90.00
_symmetry_space_group_name_H-M 'I 4 m m'
_symmetry_Int_Tables_number 107
_symmetry_space_group_name_Hall 'I 4 -2'
loop_
_atom_site_label
_atom_site_fract_x
_atom_site_fract_y
_atom_site_fract_z
Sr1 0.000 0.000 0.000
Sr2 0.000 0.000 0.314
Li1 0.000 0.000 0.631
N1 0.000 0.000 0.488
```

Peak list (10 most intense, 10 to 90 degrees two-theta, in order of rising 2θ)
2theta  d [Å]  I/Imax  (hkl)
12.80  6.918  38  0 0 2
23.57  3.775  50  1 0 1
25.76  3.459  21  0 0 4
29.90  2.988  100  1 0 3
32.27  2.774  58  1 1 0
41.74  2.164  23  1 1 4
46.28  1.962  21  2 0 0
51.53  1.773  26  1 1 6
51.79  1.765  15  1 0 7
56.08  1.640  34  2 1 3